Cs2RbSeO4: calculated PXRD pattern (Cu Kα (weighted mean of Kα1 and Kα2)), based on DFT lattice parameters and positions (PBE).
Intensities are scaled so that the largest is 100.

Structural model:
Cell lengths 6.4388, 6.4388, 6.4388 Å; angles 112.96, 112.96, 102.71 degrees
Fractional positions:
1 Cs 0.0000 0.0000 0.0000
2 Cs 0.7500 0.2500 0.5000
3 Rb 0.5000 0.5000 0.0000
4 Se 0.2500 0.7500 0.5000
5 O 0.2389 0.7195 0.2030
6 O 0.2805 0.4835 0.5194
7 O 0.5165 0.0359 0.7970
8 O 0.9641 0.7611 0.4806

Most intense lines, 10° ≤ 2θ ≤ 90°, by angle:
2θ/deg, I (rel.)
25.04, 62
28.42, 100
35.72, 30
46.25, 51
52.27, 19
58.00, 15
58.81, 13
59.77, 12
71.61, 14
76.36, 11

=====

CsRb3Tc2O8: calculated PXRD pattern (Cu Kα (weighted mean of Kα1 and Kα2)), based on DFT lattice parameters and positions (PBE).
Intensities are scaled so that the largest is 100.

Structural model:
Cell lengths 6.4913, 6.4913, 9.0636 Å; angles 90.00, 90.00, 120.00 degrees
Fractional positions:
1 Cs 0.0000 0.0000 0.0000
2 Rb 0.0000 0.0000 0.5000
3 Rb 0.3333 0.6667 0.2074
4 Rb 0.6667 0.3333 0.7926
5 Tc 0.3333 0.6667 0.6961
6 Tc 0.6667 0.3333 0.3039
7 O 0.1836 0.3671 0.7658
8 O 0.1836 0.8164 0.7658
9 O 0.3333 0.6667 0.5002
10 O 0.3671 0.1836 0.2342
11 O 0.6329 0.8164 0.7658
12 O 0.6667 0.3333 0.4998
13 O 0.8164 0.1836 0.2342
14 O 0.8164 0.6329 0.2342

Most intense lines, 10° ≤ 2θ ≤ 90°, by angle:
2θ/deg, I (rel.)
25.24, 100
27.48, 94
37.66, 45
43.04, 16
47.25, 32
48.59, 19
49.03, 13
56.72, 16
59.65, 13
63.05, 16

=====

Cs2Rb2TcO4: calculated PXRD pattern (Cu Kα (weighted mean of Kα1 and Kα2)), based on DFT lattice parameters and positions (PBE).
Intensities are scaled so that the largest is 100.

Structural model:
Cell lengths 6.6147, 6.6147, 6.6147 Å; angles 119.57, 119.57, 90.74 degrees
Fractional positions:
1 Cs 0.2500 0.7500 0.5000
2 Cs 0.7500 0.2500 0.5000
3 Rb 0.1558 0.1558 0.0000
4 Rb 0.8442 0.8442 0.0000
5 Tc 0.5000 0.5000 0.0000
6 O 0.2955 0.2955 0.5910
7 O 0.2955 0.7045 0.0000
8 O 0.7045 0.2955 0.0000
9 O 0.7045 0.7045 0.4090

Most intense lines, 10° ≤ 2θ ≤ 90°, by angle:
2θ/deg, I (rel.)
26.78, 100
26.96, 79
31.86, 47
33.10, 40
38.24, 57
42.09, 34
47.41, 29
62.40, 30
63.20, 21
76.33, 23

=====

Copy entry 3 word for word.
Cs2Rb2TcO4: calculated PXRD pattern (Cu Kα (weighted mean of Kα1 and Kα2)), based on DFT lattice parameters and positions (PBE).
Intensities are scaled so that the largest is 100.

Structural model:
Cell lengths 6.6147, 6.6147, 6.6147 Å; angles 119.57, 119.57, 90.74 degrees
Fractional positions:
1 Cs 0.2500 0.7500 0.5000
2 Cs 0.7500 0.2500 0.5000
3 Rb 0.1558 0.1558 0.0000
4 Rb 0.8442 0.8442 0.0000
5 Tc 0.5000 0.5000 0.0000
6 O 0.2955 0.2955 0.5910
7 O 0.2955 0.7045 0.0000
8 O 0.7045 0.2955 0.0000
9 O 0.7045 0.7045 0.4090

Most intense lines, 10° ≤ 2θ ≤ 90°, by angle:
2θ/deg, I (rel.)
26.78, 100
26.96, 79
31.86, 47
33.10, 40
38.24, 57
42.09, 34
47.41, 29
62.40, 30
63.20, 21
76.33, 23